Computed powder diffractogram
Compound: CaFe3Co5O16
Radiation: Cu Kα, 1.54184 Å
Structure: a cell relaxed with GGA+U
No peak broadening, texture or thermal motion is included.

Main lines, in order of rising 2θ (5 to 70 degrees two-theta):
- 19.03 deg, d 4.663, rel. 100
- 19.49 deg, d 4.555, rel. 21
- 19.68 deg, d 4.511, rel. 27
- 20.83 deg, d 4.264, rel. 22
- 24.20 deg, d 3.677, rel. 21
- 27.16 deg, d 3.283, rel. 35
- 35.99 deg, d 2.496, rel. 30
- 36.81 deg, d 2.441, rel. 23
- 38.89 deg, d 2.316, rel. 38
- 48.52 deg, d 1.876, rel. 29
- 64.72 deg, d 1.440, rel. 24
- 64.79 deg, d 1.439, rel. 18

Crystal structure
a = 5.7562 Å, b = 5.7670 Å, c = 9.4149 Å
α = 97.15°, β = 90.39°, γ = 119.45°
Space group P1 (No. 1)
Inequivalent atoms, fractional coordinates:
1 Ca 0.0000 0.0000 0.0000 (multiplicity 1)
2 Fe 0.0599 0.1660 0.3064 (multiplicity 1)
3 Fe 0.4578 0.4166 0.7599 (multiplicity 1)
4 Fe 0.5522 0.6571 0.2987 (multiplicity 1)
5 Co 0.0695 0.6657 0.3003 (multiplicity 1)
6 Co 0.4538 0.9135 0.7544 (multiplicity 1)
7 Co 0.6478 0.3057 0.0401 (multiplicity 1)
8 Co 0.9169 0.8712 0.5552 (multiplicity 1)
9 Co 0.9483 0.4131 0.7590 (multiplicity 1)
10 O 0.0919 0.2195 0.6622 (multiplicity 1)
11 O 0.1025 0.7256 0.6668 (multiplicity 1)
12 O 0.1932 0.9888 0.4267 (multiplicity 1)
13 O 0.2413 0.5241 0.4016 (multiplicity 1)
14 O 0.2973 0.6135 0.8615 (multiplicity 1)
15 O 0.3567 0.1194 0.8861 (multiplicity 1)
16 O 0.3624 0.7937 0.2056 (multiplicity 1)
17 O 0.3899 0.3245 0.1727 (multiplicity 1)
18 O 0.6094 0.7332 0.6592 (multiplicity 1)
19 O 0.6100 0.2158 0.6556 (multiplicity 1)
20 O 0.7525 0.9876 0.4295 (multiplicity 1)
21 O 0.7700 0.5616 0.4167 (multiplicity 1)
22 O 0.7790 0.1304 0.8708 (multiplicity 1)
23 O 0.7967 0.5673 0.8959 (multiplicity 1)
24 O 0.8814 0.8026 0.1992 (multiplicity 1)
25 O 0.8962 0.3193 0.1781 (multiplicity 1)